Record 1
This entry pairs a crystal structure of Tl2NiPt3S6 with its simulated powder diffraction line list. Radiation: Cu Kα (λ = 1.5418 Å). Structure: a DFT-relaxed cell (GGA-PBE, OQMD).

The 12 most intense peaks (5° ≤ 2θ ≤ 70°), by angle:
2θ/deg  intensity
14.5  38.3
14.8  27.3
20.8  13.3
29.3  10.8
29.4  37.1
33.0  100.0
33.4  23.4
42.3  36.9
50.0  15.2
51.9  29.0
55.1  13.4
62.9  15.7

Structural model:
```
data_Tl2NiPt3S6
_chemical_formula_sum 'Tl2 Ni1 Pt3 S6'
_cell_length_a 7.0478
_cell_length_b 7.0478
_cell_length_c 5.9744
_cell_angle_alpha 90.00
_cell_angle_beta 90.00
_cell_angle_gamma 120.00
_space_group_name_H-M_alt 'P 1'
_space_group_IT_number 1
_space_group_name_Hall 'P 1'
loop_
_atom_site_label
_atom_site_type_symbol
_atom_site_fract_x
_atom_site_fract_y
_atom_site_fract_z
_atom_site_occupancy
Tl1 Tl 0.3333 0.6667 0.1146 1
Tl2 Tl 0.6667 0.3333 0.8854 1
Ni1 Ni 0.0000 0.0000 0.5000 1
Pt1 Pt 0.0000 0.5000 0.5000 1
Pt2 Pt 0.5000 0.0000 0.5000 1
Pt3 Pt 0.5000 0.5000 0.5000 1
S1 S 0.1637 0.3275 0.6948 1
S2 S 0.1637 0.8363 0.6948 1
S3 S 0.3275 0.1637 0.3052 1
S4 S 0.6725 0.8363 0.6948 1
S5 S 0.8363 0.1637 0.3052 1
S6 S 0.8363 0.6725 0.3052 1
```

***

Record 2
This entry pairs a crystal structure of NiPt3Se6 with its simulated powder diffraction line list. Radiation: Cu Kα (λ = 1.5418 Å). Structure: a DFT-relaxed cell (GGA-PBE, OQMD).

The 12 most intense peaks (5° ≤ 2θ ≤ 70°), by angle:
2θ/deg  intensity
24.5  69.8
26.2  26.2
27.3  63.6
37.2  16.1
40.3  23.7
42.5  100.0
47.3  20.0
48.5  15.5
49.4  25.2
54.0  16.5
59.6  9.6
63.8  12.2

Structural model:
```
data_NiPt3Se6
_chemical_formula_sum 'Ni1 Pt3 Se6'
_cell_length_a 7.6522
_cell_length_b 7.6522
_cell_length_c 3.8457
_cell_angle_alpha 90.00
_cell_angle_beta 90.00
_cell_angle_gamma 108.47
_space_group_name_H-M_alt 'P 1'
_space_group_IT_number 1
_space_group_name_Hall 'P 1'
loop_
_atom_site_label
_atom_site_type_symbol
_atom_site_fract_x
_atom_site_fract_y
_atom_site_fract_z
_atom_site_occupancy
Ni1 Ni 0.0000 0.0000 0.0000 1
Pt1 Pt 0.0000 0.5000 0.5000 1
Pt2 Pt 0.5000 0.0000 0.5000 1
Pt3 Pt 0.5000 0.5000 0.0000 1
Se1 Se 0.1361 0.8639 0.5000 1
Se2 Se 0.1665 0.4141 0.0000 1
Se3 Se 0.4141 0.1665 0.0000 1
Se4 Se 0.5859 0.8335 0.0000 1
Se5 Se 0.8335 0.5859 0.0000 1
Se6 Se 0.8639 0.1361 0.5000 1
```